Diffraction record for LiAc4Sm. The PXRD pattern is computed, not measured: it uses a crystal structure in Alexandria, relaxed with GGA-PBE and Cu Kα.
Intensities are scaled so that the largest is 100.

Principal peaks in the range 10 to 80 degrees two-theta, low angle first:
- 23.27°, rel. 19, (1 0 1)
- 25.47°, rel. 11, (1 0 2)
- 28.79°, rel. 100, (1 0 3)
- 32.02°, rel. 42, (1 1 0)
- 35.92°, rel. 11, (0 0 6)
- 45.91°, rel. 16, (2 0 0)
- 48.87°, rel. 18, (1 1 6)
- 54.14°, rel. 9, (1 0 8)
- 55.10°, rel. 34, (2 1 3)
- 59.63°, rel. 10, (2 0 6)

Crystal structure
```
data_LiAc4Sm
_chemical_formula_sum 'Li1 Ac4 Sm1'
_cell_length_a 3.953
_cell_length_b 3.953
_cell_length_c 15.001
_cell_angle_alpha 90.00
_cell_angle_beta 90.00
_cell_angle_gamma 90.00
_symmetry_space_group_name_H-M 'P 4/m m m'
_symmetry_Int_Tables_number 123
_symmetry_space_group_name_Hall '-P 4 2'
loop_
_atom_site_label
_atom_site_type_symbol
_atom_site_fract_x
_atom_site_fract_y
_atom_site_fract_z
Li1 Li 0.000 0.000 0.000
Ac1 Ac 0.000 0.000 0.330
Ac2 Ac 0.500 0.500 0.143
Sm1 Sm 0.500 0.500 0.500
```

=====

Diffraction record for La3Tl2Cd9. The PXRD pattern is computed, not measured: it uses a crystal structure in Alexandria, relaxed with GGA-PBE and Cu Kα.
Intensities are scaled so that the largest is 100.

Principal peaks in the range 10 to 80 degrees two-theta, low angle first:
- 31.15°, rel. 100, (1 2 3)
- 31.95°, rel. 47, (0 3 3)
- 33.93°, rel. 42, (1 3 2)
- 36.11°, rel. 57, (2 0 0)
- 37.69°, rel. 28, (0 0 6)
- 39.64°, rel. 19, (1 4 1)
- 40.52°, rel. 20, (1 3 4)
- 48.94°, rel. 14, (2 3 3)
- 53.17°, rel. 20, (2 0 6)
- 60.54°, rel. 18, (1 4 7)

Crystal structure
```
data_La3Tl2Cd9
_chemical_formula_sum 'La6 Tl4 Cd18'
_cell_length_a 4.977
_cell_length_b 10.391
_cell_length_c 14.321
_cell_angle_alpha 90.00
_cell_angle_beta 90.00
_cell_angle_gamma 90.00
_symmetry_space_group_name_H-M 'I m m m'
_symmetry_Int_Tables_number 71
_symmetry_space_group_name_Hall '-I 2 2'
loop_
_atom_site_label
_atom_site_type_symbol
_atom_site_fract_x
_atom_site_fract_y
_atom_site_fract_z
La1 La 0.000 0.000 0.000
La2 La 0.000 0.000 0.298
Tl1 Tl 0.000 0.184 0.500
Cd1 Cd 0.000 0.278 0.147
Cd2 Cd 0.000 0.367 0.343
Cd3 Cd 0.000 0.500 0.000
```